# Rb2ZrAg2Se4
Theoretical X-ray powder pattern, λ = 1.5418 Å (Cu Kα). Input: a DFT-relaxed cell (PBE, OQMD).

Crystal structure
```
data_Rb2ZrAg2Se4
_chemical_formula_sum 'Rb4 Zr2 Ag4 Se8'
_symmetry_space_group_name_H-M 'C 2 2 2'
_symmetry_Int_Tables_number 21
_cell_length_a 6.288
_cell_length_b 14.077
_cell_length_c 6.271
_cell_angle_alpha 90.00
_cell_angle_beta 90.00
_cell_angle_gamma 90.00
loop_
_symmetry_equiv_pos_as_xyz
'x,y,z'
'-x,-y,z'
'x,-y,-z'
'-x,y,-z'
'x+1/2,y+1/2,z'
'-x+1/2,-y+1/2,z'
'x+1/2,-y+1/2,-z'
'-x+1/2,y+1/2,-z'
loop_
_atom_site_label
_atom_site_type_symbol
_atom_site_fract_x
_atom_site_fract_y
_atom_site_fract_z
Rb1 Rb 0.250 0.250 0.241
Zr1 Zr 0.000 0.000 0.500
Ag1 Ag 0.000 0.000 0.000
Ag2 Ag 0.000 0.500 0.500
Se1 Se 0.232 0.109 0.732
```

Peak list (10 most intense, 15 to 90 degrees two-theta, in order of rising 2θ)
2θ = 20.98°, d 4.235, I 15.2, hkl 1 1 1
2θ = 27.66°, d 3.225, I 100.0, hkl 1 3 1
2θ = 31.19°, d 2.867, I 60.5, hkl 2 2 0
2θ = 37.84°, d 2.378, I 16.7, hkl 1 5 1
2θ = 38.42°, d 2.343, I 34.5, hkl 0 4 2
2θ = 40.64°, d 2.220, I 49.4, hkl 2 0 2
2θ = 48.44°, d 1.879, I 45.5, hkl 2 6 0
2θ = 49.81°, d 1.831, I 21.0, hkl 3 3 1
2θ = 49.91°, d 1.827, I 17.5, hkl 1 3 3
2θ = 67.99°, d 1.379, I 22.3, hkl 2 8 2


# RbTmFeS3
Theoretical X-ray powder pattern, λ = 1.5418 Å (Cu Kα). Input: a DFT-relaxed cell (PBE, OQMD).

Crystal structure
```
data_RbTmFeS3
_chemical_formula_sum 'Rb2 Tm2 Fe2 S6'
_symmetry_space_group_name_H-M 'P 1 21/m 1'
_symmetry_Int_Tables_number 11
_cell_length_a 9.018
_cell_length_b 3.927
_cell_length_c 9.434
_cell_angle_alpha 90.00
_cell_angle_beta 110.07
_cell_angle_gamma 90.00
loop_
_symmetry_equiv_pos_as_xyz
'x,y,z'
'-x,-y,-z'
'-x,y+1/2,-z'
'x,-y+1/2,z'
loop_
_atom_site_label
_atom_site_type_symbol
_atom_site_fract_x
_atom_site_fract_y
_atom_site_fract_z
Rb1 Rb 0.212 0.250 0.238
Tm1 Tm 0.335 0.750 0.855
Fe1 Fe 0.076 0.250 0.594
S1 S 0.120 0.250 0.847
S2 S 0.197 0.750 0.540
S3 S 0.466 0.750 0.155
```

Peak list (10 most intense, 15 to 90 degrees two-theta, in order of rising 2θ)
2θ = 23.56°, d 3.776, I 42.4, hkl 2 0 -2
2θ = 24.80°, d 3.590, I 26.3, hkl 0 1 1
2θ = 28.33°, d 3.150, I 23.1, hkl 1 1 1
2θ = 30.30°, d 2.950, I 100.0, hkl 2 1 -1
2θ = 31.06°, d 2.880, I 54.6, hkl 2 1 0
2θ = 35.45°, d 2.532, I 21.2, hkl 1 0 3
2θ = 36.60°, d 2.455, I 35.2, hkl 1 1 -3
2θ = 45.46°, d 1.995, I 24.2, hkl 2 1 -4
2θ = 46.23°, d 1.964, I 21.7, hkl 0 2 0
2θ = 49.60°, d 1.838, I 21.7, hkl 3 1 2


# PrNdBrO
Theoretical X-ray powder pattern, λ = 1.5418 Å (Cu Kα). Input: a DFT-relaxed cell (PBE, OQMD).

Crystal structure
```
data_PrNdBrO
_chemical_formula_sum 'Pr2 Nd2 Br2 O2'
_symmetry_space_group_name_H-M 'P -3 m 1'
_symmetry_Int_Tables_number 164
_symmetry_space_group_name_Hall '-P 3 2"'
_cell_length_a 3.7055
_cell_length_b 3.7055
_cell_length_c 14.6272
_cell_angle_alpha 90.00
_cell_angle_beta 90.00
_cell_angle_gamma 120.00
loop_
_atom_site_label
_atom_site_type_symbol
_atom_site_fract_x
_atom_site_fract_y
_atom_site_fract_z
Pr1 Pr 0.3333 0.6667 0.0930
Nd1 Nd 0.3333 0.6667 0.4096
Br1 Br 0.3333 0.6667 0.7474
O1 O 0.0000 0.0000 0.0000
O2 O 0.0000 0.0000 0.5000
```

Peak list (10 most intense, 15 to 90 degrees two-theta, in order of rising 2θ)
2θ = 27.80°, d 3.209, I 22.6, hkl 1 0 0
2θ = 28.48°, d 3.135, I 6.1, hkl 0 1 1
2θ = 33.43°, d 2.681, I 100.0, hkl 0 1 3
2θ = 36.87°, d 2.438, I 14.5, hkl 0 0 6
2θ = 46.80°, d 1.941, I 14.3, hkl 1 0 6
2θ = 49.18°, d 1.853, I 24.7, hkl 1 1 0
2θ = 60.77°, d 1.524, I 17.7, hkl 2 0 3
2θ = 63.02°, d 1.475, I 18.4, hkl 1 1 6
2θ = 64.24°, d 1.450, I 12.7, hkl 0 1 9
2θ = 81.83°, d 1.177, I 15.2, hkl 1 2 3


# TcAsNO
Theoretical X-ray powder pattern, λ = 1.5418 Å (Cu Kα). Input: a DFT-relaxed cell (PBE, OQMD).

Crystal structure
```
data_TcAsNO
_chemical_formula_sum 'Tc4 As4 N4 O4'
_symmetry_space_group_name_H-M 'P c a 21'
_symmetry_Int_Tables_number 29
_cell_length_a 5.931
_cell_length_b 7.079
_cell_length_c 4.877
_cell_angle_alpha 90.00
_cell_angle_beta 90.00
_cell_angle_gamma 90.00
loop_
_symmetry_equiv_pos_as_xyz
'x,y,z'
'-x,-y,z+1/2'
'-x+1/2,y,z+1/2'
'x+1/2,-y,z'
loop_
_atom_site_label
_atom_site_type_symbol
_atom_site_fract_x
_atom_site_fract_y
_atom_site_fract_z
Tc1 Tc 0.155 0.162 0.000
As1 As 0.029 0.652 0.951
N1 N 0.013 0.605 0.563
O1 O 0.121 0.988 0.671
```

Peak list (10 most intense, 15 to 90 degrees two-theta, in order of rising 2θ)
2θ = 19.53°, d 4.546, I 60.1, hkl 1 1 0
2θ = 29.39°, d 3.039, I 49.6, hkl 1 2 0
2θ = 32.74°, d 2.735, I 24.6, hkl 2 1 0
2θ = 34.78°, d 2.580, I 100.0, hkl 1 2 1
2θ = 35.42°, d 2.534, I 49.6, hkl 2 0 1
2θ = 36.86°, d 2.439, I 47.8, hkl 0 0 2
2θ = 47.82°, d 1.902, I 25.6, hkl 1 2 2
2θ = 49.35°, d 1.846, I 18.8, hkl 2 3 0
2θ = 51.52°, d 1.774, I 44.6, hkl 3 1 1
2θ = 65.09°, d 1.433, I 26.1, hkl 0 4 2


# ScTaCo2Bi2
Theoretical X-ray powder pattern, λ = 1.5418 Å (Cu Kα). Input: a DFT-relaxed cell (PBE, OQMD).

Crystal structure
```
data_ScTaCo2Bi2
_chemical_formula_sum 'Sc2 Ta2 Co4 Bi4'
_symmetry_space_group_name_H-M 'P m n 21'
_symmetry_Int_Tables_number 31
_cell_length_a 4.335
_cell_length_b 8.683
_cell_length_c 6.144
_cell_angle_alpha 90.00
_cell_angle_beta 90.00
_cell_angle_gamma 90.00
loop_
_symmetry_equiv_pos_as_xyz
'x,y,z'
'-x+1/2,-y,z+1/2'
'-x,y,z'
'x+1/2,-y,z+1/2'
loop_
_atom_site_label
_atom_site_type_symbol
_atom_site_fract_x
_atom_site_fract_y
_atom_site_fract_z
Sc1 Sc 0.000 0.124 0.000
Ta1 Ta 0.000 0.624 0.023
Co1 Co 0.000 0.387 0.280
Co2 Co 0.000 0.860 0.246
Bi1 Bi 0.000 0.121 0.499
Bi2 Bi 0.000 0.629 0.526
```

Peak list (10 most intense, 15 to 90 degrees two-theta, in order of rising 2θ)
2θ = 25.13°, d 3.544, I 22.2, hkl 1 0 1
2θ = 29.10°, d 3.069, I 59.9, hkl 1 2 0
2θ = 41.62°, d 2.170, I 100.0, hkl 2 0 0
2θ = 49.23°, d 1.851, I 11.0, hkl 0 2 3
2θ = 51.58°, d 1.772, I 17.0, hkl 0 4 2
2θ = 60.25°, d 1.536, I 5.1, hkl 0 0 4
2θ = 60.35°, d 1.534, I 11.1, hkl 2 4 0
2θ = 68.33°, d 1.373, I 18.7, hkl 1 6 0
2θ = 75.91°, d 1.253, I 21.2, hkl 1 6 2
2θ = 76.01°, d 1.252, I 11.3, hkl 3 2 2


# TbEr2Mg3InGa2
Theoretical X-ray powder pattern, λ = 1.5418 Å (Cu Kα). Input: a DFT-relaxed cell (PBE, OQMD).

Crystal structure
```
data_TbEr2Mg3InGa2
_chemical_formula_sum 'Tb2 Er4 Mg6 In2 Ga4'
_symmetry_space_group_name_H-M 'A m m 2'
_symmetry_Int_Tables_number 38
_cell_length_a 4.542
_cell_length_b 12.668
_cell_length_c 7.279
_cell_angle_alpha 90.00
_cell_angle_beta 90.00
_cell_angle_gamma 90.00
loop_
_symmetry_equiv_pos_as_xyz
'x,y,z'
'-x,-y,z'
'-x,y,z'
'x,-y,z'
'x,y+1/2,z+1/2'
'-x,-y+1/2,z+1/2'
'-x,y+1/2,z+1/2'
'x,-y+1/2,z+1/2'
loop_
_atom_site_label
_atom_site_type_symbol
_atom_site_fract_x
_atom_site_fract_y
_atom_site_fract_z
Tb1 Tb 0.000 0.000 0.000
Er1 Er 0.000 0.219 0.343
Mg1 Mg 0.500 0.000 0.312
Mg2 Mg 0.500 0.125 0.687
In1 In 0.000 0.000 0.560
Ga1 Ga 0.500 0.168 0.062
```

Peak list (10 most intense, 15 to 90 degrees two-theta, in order of rising 2θ)
2θ = 19.55°, d 4.542, I 26.4, hkl 1 0 0
2θ = 24.40°, d 3.648, I 12.3, hkl 0 3 1
2θ = 28.18°, d 3.167, I 13.0, hkl 0 4 0
2θ = 28.28°, d 3.156, I 25.5, hkl 0 2 2
2θ = 31.45°, d 2.844, I 41.6, hkl 1 0 2
2θ = 34.59°, d 2.593, I 100.0, hkl 1 2 2
2θ = 37.62°, d 2.391, I 10.5, hkl 0 5 1
2θ = 39.69°, d 2.271, I 21.1, hkl 2 0 0
2θ = 49.43°, d 1.844, I 16.6, hkl 2 4 0
2θ = 68.76°, d 1.365, I 13.3, hkl 3 2 2


# BaOs2W2
Theoretical X-ray powder pattern, λ = 1.5418 Å (Cu Kα). Input: a DFT-relaxed cell (PBE, OQMD).

Crystal structure
```
data_BaOs2W2
_chemical_formula_sum 'Ba4 Os8 W8'
_symmetry_space_group_name_H-M 'C m c m'
_symmetry_Int_Tables_number 63
_symmetry_space_group_name_Hall '-C 2c 2'
_cell_length_a 4.296
_cell_length_b 11.277
_cell_length_c 9.521
_cell_angle_alpha 90.00
_cell_angle_beta 90.00
_cell_angle_gamma 90.00
loop_
_atom_site_label
_atom_site_type_symbol
_atom_site_fract_x
_atom_site_fract_y
_atom_site_fract_z
Ba1 Ba 0.000 0.077 0.250
Os1 Os 0.000 0.393 0.040
W1 W 0.000 0.212 0.605
```

Peak list (10 most intense, 15 to 90 degrees two-theta, in order of rising 2θ)
2θ = 18.64°, d 4.761, I 47.2, hkl 0 0 2
2θ = 29.10°, d 3.069, I 100.0, hkl 1 1 2
2θ = 32.37°, d 2.766, I 81.8, hkl 0 2 3
2θ = 33.03°, d 2.712, I 85.8, hkl 1 3 1
2θ = 42.07°, d 2.148, I 57.1, hkl 2 0 0
2θ = 42.82°, d 2.112, I 35.9, hkl 1 3 3
2θ = 45.42°, d 1.997, I 44.6, hkl 1 5 0
2θ = 49.50°, d 1.841, I 48.8, hkl 1 5 2
2θ = 50.12°, d 1.820, I 33.1, hkl 0 4 4
2θ = 54.06°, d 1.696, I 38.8, hkl 2 2 3


# CuAg
Theoretical X-ray powder pattern, λ = 1.5418 Å (Cu Kα). Input: a DFT-relaxed cell (PBE, OQMD).

Crystal structure
```
data_CuAg
_chemical_formula_sum 'Cu5 Ag5'
_symmetry_space_group_name_H-M 'P m m 2'
_symmetry_Int_Tables_number 25
_cell_length_a 2.846
_cell_length_b 3.492
_cell_length_c 15.028
_cell_angle_alpha 90.00
_cell_angle_beta 90.00
_cell_angle_gamma 90.00
loop_
_symmetry_equiv_pos_as_xyz
'x,y,z'
'-x,-y,z'
'-x,y,z'
'x,-y,z'
loop_
_atom_site_label
_atom_site_type_symbol
_atom_site_fract_x
_atom_site_fract_y
_atom_site_fract_z
Cu1 Cu 0.000 0.000 0.000
Cu2 Cu 0.000 0.000 0.166
Cu3 Cu 0.000 0.000 0.602
Cu4 Cu 0.500 0.500 0.083
Cu5 Cu 0.500 0.500 0.682
Ag1 Ag 0.000 0.000 0.383
Ag2 Ag 0.000 0.000 0.783
Ag3 Ag 0.500 0.500 0.265
Ag4 Ag 0.500 0.500 0.501
Ag5 Ag 0.500 0.500 0.901
```

Peak list (10 most intense, 15 to 90 degrees two-theta, in order of rising 2θ)
2θ = 31.22°, d 2.865, I 16.8, hkl 0 1 3
2θ = 36.31°, d 2.474, I 11.1, hkl 1 0 3
2θ = 39.56°, d 2.278, I 92.4, hkl 0 1 5
2θ = 40.91°, d 2.206, I 100.0, hkl 1 1 0
2θ = 43.81°, d 2.066, I 68.3, hkl 1 0 5
2θ = 52.40°, d 1.746, I 23.3, hkl 0 2 0
2θ = 65.62°, d 1.423, I 11.3, hkl 2 0 0
2θ = 70.63°, d 1.334, I 30.2, hkl 1 2 5
2θ = 76.74°, d 1.242, I 13.3, hkl 1 1 10
2θ = 79.41°, d 1.207, I 22.7, hkl 2 1 5


# Tm2Al2PdAu3
Theoretical X-ray powder pattern, λ = 1.5418 Å (Cu Kα). Input: a DFT-relaxed cell (PBE, OQMD).

Crystal structure
```
data_Tm2Al2PdAu3
_chemical_formula_sum 'Tm2 Al2 Pd1 Au3'
_symmetry_space_group_name_H-M 'P 3 m 1'
_symmetry_Int_Tables_number 156
_cell_length_a 4.4724
_cell_length_b 4.4724
_cell_length_c 9.0322
_cell_angle_alpha 90.00
_cell_angle_beta 90.00
_cell_angle_gamma 120.00
loop_
_symmetry_equiv_pos_as_xyz
'x,y,z'
'-y,x-y,z'
'-x+y,-x,z'
'-y,-x,z'
'-x+y,y,z'
'x,x-y,z'
loop_
_atom_site_label
_atom_site_type_symbol
_atom_site_fract_x
_atom_site_fract_y
_atom_site_fract_z
Tm1 Tm 0.0000 0.0000 0.0000
Tm2 Tm 0.3333 0.6667 0.4926
Al1 Al 0.6667 0.3333 0.2355
Al2 Al 0.6667 0.3333 0.7460
Pd1 Pd 0.3333 0.6667 0.1660
Au1 Au 0.0000 0.0000 0.3265
Au2 Au 0.0000 0.0000 0.6577
Au3 Au 0.3333 0.6667 0.8357
```

Peak list (10 most intense, 15 to 90 degrees two-theta, in order of rising 2θ)
2θ = 22.96°, d 3.873, I 48.6, hkl 1 0 0
2θ = 37.85°, d 2.377, I 100.0, hkl 1 0 3
2θ = 40.33°, d 2.236, I 62.1, hkl 1 1 0
2θ = 46.92°, d 1.937, I 7.6, hkl 2 0 0
2θ = 56.50°, d 1.629, I 31.6, hkl 0 2 3
2θ = 66.66°, d 1.403, I 7.8, hkl 0 1 6
2θ = 71.69°, d 1.317, I 31.3, hkl 2 1 3
2θ = 73.33°, d 1.291, I 10.9, hkl 3 0 0
2θ = 76.24°, d 1.249, I 15.6, hkl 1 1 6
2θ = 87.18°, d 1.118, I 7.2, hkl 2 2 0


# Pr4S3N
Theoretical X-ray powder pattern, λ = 1.5418 Å (Cu Kα). Input: a DFT-relaxed cell (PBE, OQMD).

Crystal structure
```
data_Pr4S3N
_chemical_formula_sum 'Pr8 S6 N2'
_symmetry_space_group_name_H-M 'I 4/m m m'
_symmetry_Int_Tables_number 139
_symmetry_space_group_name_Hall '-I 4 2'
_cell_length_a 5.691
_cell_length_b 5.691
_cell_length_c 11.328
_cell_angle_alpha 90.00
_cell_angle_beta 90.00
_cell_angle_gamma 90.00
loop_
_atom_site_label
_atom_site_type_symbol
_atom_site_fract_x
_atom_site_fract_y
_atom_site_fract_z
Pr1 Pr 0.000 0.000 0.219
Pr2 Pr 0.000 0.500 0.000
S1 S 0.000 0.000 0.500
S2 S 0.000 0.500 0.250
N1 N 0.000 0.000 0.000
```

Peak list (10 most intense, 15 to 90 degrees two-theta, in order of rising 2θ)
2θ = 27.18°, d 3.280, I 100.0, hkl 1 1 2
2θ = 28.37°, d 3.146, I 14.9, hkl 1 0 3
2θ = 31.44°, d 2.845, I 87.1, hkl 2 0 0
2θ = 31.59°, d 2.832, I 33.5, hkl 0 0 4
2θ = 45.06°, d 2.012, I 31.4, hkl 2 2 0
2θ = 45.17°, d 2.007, I 48.5, hkl 2 0 4
2θ = 53.42°, d 1.715, I 33.0, hkl 3 1 2
2θ = 56.07°, d 1.640, I 25.2, hkl 2 2 4
2θ = 74.61°, d 1.272, I 24.4, hkl 4 2 0
2θ = 83.24°, d 1.161, I 16.2, hkl 4 2 4


# DyNb2N3
Theoretical X-ray powder pattern, λ = 1.5418 Å (Cu Kα). Input: a DFT-relaxed cell (PBE, OQMD).

Crystal structure
```
data_DyNb2N3
_chemical_formula_sum 'Dy1 Nb2 N3'
_symmetry_space_group_name_H-M 'P -3 m 1'
_symmetry_Int_Tables_number 164
_symmetry_space_group_name_Hall '-P 3 2"'
_cell_length_a 3.2332
_cell_length_b 3.2332
_cell_length_c 7.8603
_cell_angle_alpha 90.00
_cell_angle_beta 90.00
_cell_angle_gamma 120.00
loop_
_atom_site_label
_atom_site_type_symbol
_atom_site_fract_x
_atom_site_fract_y
_atom_site_fract_z
Dy1 Dy 0.0000 0.0000 0.0000
Nb1 Nb 0.3333 0.6667 0.3469
N1 N 0.0000 0.0000 0.5000
N2 N 0.3333 0.6667 0.8123
```

Peak list (10 most intense, 15 to 90 degrees two-theta, in order of rising 2θ)
2θ = 33.99°, d 2.638, I 100.0, hkl 0 1 1
2θ = 34.22°, d 2.620, I 29.9, hkl 0 0 3
2θ = 39.52°, d 2.280, I 97.2, hkl 1 0 2
2θ = 56.96°, d 1.617, I 32.1, hkl 1 1 0
2θ = 57.28°, d 1.608, I 32.4, hkl 0 1 4
2θ = 68.02°, d 1.378, I 14.0, hkl 2 0 1
2θ = 68.16°, d 1.376, I 25.3, hkl 1 1 3
2θ = 68.44°, d 1.371, I 11.9, hkl 1 0 5
2θ = 71.54°, d 1.319, I 15.7, hkl 0 2 2
2θ = 85.08°, d 1.140, I 10.3, hkl 2 0 4


# KNb4HS5
Theoretical X-ray powder pattern, λ = 1.5418 Å (Cu Kα). Input: a DFT-relaxed cell (PBE, OQMD).

Crystal structure
```
data_KNb4HS5
_chemical_formula_sum 'K1 Nb4 H1 S5'
_symmetry_space_group_name_H-M 'P 4/m m m'
_symmetry_Int_Tables_number 123
_symmetry_space_group_name_Hall '-P 4 2'
_cell_length_a 4.889
_cell_length_b 4.889
_cell_length_c 8.354
_cell_angle_alpha 90.00
_cell_angle_beta 90.00
_cell_angle_gamma 90.00
loop_
_atom_site_label
_atom_site_type_symbol
_atom_site_fract_x
_atom_site_fract_y
_atom_site_fract_z
K1 K 0.000 0.000 0.000
Nb1 Nb 0.000 0.500 0.500
Nb2 Nb 0.500 0.500 0.253
H1 H 0.500 0.500 0.000
S1 S 0.000 0.000 0.500
S2 S 0.000 0.500 0.209
```

Peak list (10 most intense, 15 to 90 degrees two-theta, in order of rising 2θ)
2θ = 18.15°, d 4.889, I 23.7, hkl 1 0 0
2θ = 27.93°, d 3.194, I 32.4, hkl 1 1 1
2θ = 28.10°, d 3.176, I 84.5, hkl 1 0 2
2θ = 33.65°, d 2.663, I 27.1, hkl 1 1 2
2θ = 36.77°, d 2.444, I 100.0, hkl 2 0 0
2θ = 41.65°, d 2.169, I 36.1, hkl 1 1 3
2θ = 43.32°, d 2.088, I 24.5, hkl 0 0 4
2θ = 46.90°, d 1.937, I 38.7, hkl 2 1 2
2θ = 52.98°, d 1.729, I 32.9, hkl 2 2 0
2θ = 58.09°, d 1.588, I 39.5, hkl 2 0 4